Diffraction record for H5W. The X-ray powder pattern is theoretical, not measured: it uses the GGA-PBE geometry in the Materials Project and copper Kα.
Neutral-atom scattering factors, no anomalous dispersion.

Structural model:
Cell lengths 5.986, 2.847, 4.952 Å; angles 90.00, 90.00, 90.00 degrees
Space group Pmma (No. 51)
Inequivalent atoms, fractional coordinates:
H: 0.075 0.000 0.194
H: 0.106 0.500 0.712
H: 0.250 0.500 0.124
W: 0.250 0.000 0.893

The 6 most intense peaks (2θ from 10° to 80°), sorted by position:
(0 0 1), 2θ 17.91, rel. 100
(1 0 1), 2θ 23.31, rel. 66
(2 0 0), 2θ 29.85, rel. 46
(0 1 0), 2θ 31.42, rel. 40
(1 0 2), 2θ 39.38, rel. 41
(1 1 2), 2θ 51.23, rel. 40